Structure and computed powder XRD pattern of Cs4KPb3I12 (a crystal structure in Alexandria, relaxed with PBE; Cu Ka).

Structural model:
```
data_Cs4KPb3I12
_chemical_formula_sum 'Cs8 K2 Pb6 I24'
_space_group_name_H-M_alt 'I m -3 m'
_space_group_IT_number 229
_space_group_name_Hall '-I 4 2 3'
_cell_length_a 12.800
_cell_length_b 12.800
_cell_length_c 12.800
_cell_angle_alpha 90.00
_cell_angle_beta 90.00
_cell_angle_gamma 90.00
loop_
_atom_site_label
_atom_site_fract_x
_atom_site_fract_y
_atom_site_fract_z
Cs1 0.250 0.250 0.250
K1 0.000 0.000 0.000
Pb1 0.000 0.000 0.500
I1 0.000 0.000 0.259
I2 0.000 0.250 0.500
```

Top 8 peaks for 10 to 80 degrees two-theta, by angle:
2θ 13.84, rel. 29, (2 0 0); 2θ 19.62, rel. 29, (2 2 0); 2θ 24.08, rel. 51, (2 2 2); 2θ 27.88, rel. 100, (4 0 0); 2θ 39.84, rel. 76, (4 4 0); 2θ 49.32, rel. 27, (4 4 4); 2θ 65.19, rel. 35, (8 4 0); 2θ 72.33, rel. 26, (8 4 4)

Structure and computed powder XRD pattern of HfPd3Pt (a crystal structure in Alexandria, relaxed with PBE; Cu Ka).

Structural model:
```
data_HfPd3Pt
_chemical_formula_sum 'Hf2 Pd6 Pt2'
_space_group_name_H-M_alt 'P 1 21/m 1'
_space_group_IT_number 11
_cell_length_a 4.359
_cell_length_b 5.565
_cell_length_c 7.191
_cell_angle_alpha 90.00
_cell_angle_beta 107.59
_cell_angle_gamma 90.00
loop_
_space_group_symop_operation_xyz
'x,y,z'
'-x,-y,-z'
'-x,y+1/2,-z'
'x,-y+1/2,z'
loop_
_atom_site_label
_atom_site_fract_x
_atom_site_fract_y
_atom_site_fract_z
Hf1 0.205 0.250 0.410
Pd1 0.015 0.250 0.029
Pd2 0.393 0.504 0.788
Pt1 0.183 0.750 0.364
```

Top 8 peaks for 10 to 80 degrees two-theta, by angle:
2θ 12.92, rel. 22, (0 0 1); 2θ 38.80, rel. 100, (1 0 2); 2θ 38.96, rel. 78, (1 2 -1); 2θ 41.43, rel. 48, (2 0 -1); 2θ 41.82, rel. 23, (0 2 2); 2θ 43.36, rel. 32, (1 2 1); 2θ 51.77, rel. 18, (0 2 3); 2θ 68.39, rel. 21, (0 0 5)

Structure and computed powder XRD pattern of NbCl2F5 (a crystal structure in Alexandria, relaxed with PBE; Cu Ka).

Structural model:
```
data_NbCl2F5
_chemical_formula_sum 'Nb1 Cl2 F5'
_space_group_name_H-M_alt 'P 1'
_space_group_IT_number 1
_cell_length_a 5.218
_cell_length_b 5.495
_cell_length_c 7.345
_cell_angle_alpha 78.20
_cell_angle_beta 78.82
_cell_angle_gamma 64.82
loop_
_space_group_symop_operation_xyz
'x,y,z'
loop_
_atom_site_label
_atom_site_fract_x
_atom_site_fract_y
_atom_site_fract_z
Nb1 0.000 0.000 0.000
Cl1 0.551 0.424 0.531
Cl2 0.803 0.626 0.484
F1 0.104 0.001 0.230
F2 0.200 0.615 0.027
F3 0.217 0.025 0.766
F4 0.651 0.977 0.002
F5 0.821 0.386 0.971
```

Top 8 peaks for 10 to 80 degrees two-theta, by angle:
2θ 12.40, rel. 85, (0 0 1); 2θ 18.93, rel. 45, (1 0 0); 2θ 20.24, rel. 54, (1 1 0); 2θ 20.45, rel. 100, (0 1 1); 2θ 21.12, rel. 40, (1 1 1); 2θ 21.39, rel. 63, (1 0 1); 2θ 23.31, rel. 49, (0 1 -1); 2θ 24.95, rel. 78, (0 0 2)

Structure and computed powder XRD pattern of Li2ZnTe (a crystal structure in Alexandria, relaxed with PBE; Cu Ka).

Structural model:
```
data_Li2ZnTe
_chemical_formula_sum 'Li8 Zn4 Te4'
_space_group_name_H-M_alt 'I -4 2 d'
_space_group_IT_number 122
_space_group_name_Hall 'I -4 2bw'
_cell_length_a 5.465
_cell_length_b 5.465
_cell_length_c 15.951
_cell_angle_alpha 90.00
_cell_angle_beta 90.00
_cell_angle_gamma 90.00
loop_
_atom_site_label
_atom_site_fract_x
_atom_site_fract_y
_atom_site_fract_z
Li1 0.192 0.250 0.125
Zn1 0.000 0.000 0.500
Te1 0.000 0.000 0.000
```

Top 8 peaks for 10 to 80 degrees two-theta, by angle:
2θ 22.29, rel. 31, (0 0 4); 2θ 25.61, rel. 100, (1 1 2); 2θ 32.77, rel. 24, (2 0 0); 2θ 40.00, rel. 33, (2 0 4); 2θ 41.22, rel. 28, (1 1 6); 2θ 52.63, rel. 12, (2 2 4); 2θ 54.31, rel. 24, (3 1 2); 2θ 64.29, rel. 14, (3 1 6)

Structure and computed powder XRD pattern of Ti4Rh3 (a crystal structure in Alexandria, relaxed with PBE; Cu Ka).

Structural model:
```
data_Ti4Rh3
_chemical_formula_sum 'Ti8 Rh6'
_space_group_name_H-M_alt 'P -1'
_space_group_IT_number 2
_cell_length_a 5.388
_cell_length_b 6.943
_cell_length_c 6.965
_cell_angle_alpha 113.47
_cell_angle_beta 105.14
_cell_angle_gamma 104.73
loop_
_space_group_symop_operation_xyz
'x,y,z'
'-x,-y,-z'
loop_
_atom_site_label
_atom_site_fract_x
_atom_site_fract_y
_atom_site_fract_z
Ti1 0.000 0.000 0.000
Ti2 0.073 0.428 0.286
Ti3 0.212 0.286 0.858
Ti4 0.355 0.142 0.428
Ti5 0.500 0.000 0.000
Rh1 0.142 0.856 0.572
Rh2 0.287 0.716 0.144
Rh3 0.429 0.572 0.715
```

Top 8 peaks for 10 to 80 degrees two-theta, by angle:
2θ 28.64, rel. 16, (1 1 0); 2θ 28.78, rel. 8, (1 -2 1); 2θ 40.94, rel. 51, (0 1 2); 2θ 41.05, rel. 100, (2 -1 1); 2θ 59.29, rel. 16, (2 2 0); 2θ 59.62, rel. 8, (2 -4 2); 2θ 74.63, rel. 24, (2 0 3); 2θ 74.86, rel. 16, (4 -3 0)

Structure and computed powder XRD pattern of Cs5Rb3 (a crystal structure in Alexandria, relaxed with PBE; Cu Ka).

Structural model:
```
data_Cs5Rb3
_chemical_formula_sum 'Cs5 Rb3'
_space_group_name_H-M_alt 'P m m 2'
_space_group_IT_number 25
_cell_length_a 5.920
_cell_length_b 11.794
_cell_length_c 11.915
_cell_angle_alpha 90.00
_cell_angle_beta 90.00
_cell_angle_gamma 90.00
loop_
_space_group_symop_operation_xyz
'x,y,z'
'-x,-y,z'
'-x,y,z'
'x,-y,z'
loop_
_atom_site_label
_atom_site_fract_x
_atom_site_fract_y
_atom_site_fract_z
Cs1 0.000 0.000 0.000
Cs2 0.000 0.000 0.473
Cs3 0.000 0.500 0.471
Cs4 0.500 0.257 0.743
Rb1 0.000 0.500 0.001
Rb2 0.500 0.257 0.228
```

Top 8 peaks for 10 to 80 degrees two-theta, by angle:
2θ 21.18, rel. 100, (1 0 2); 2θ 21.27, rel. 50, (1 2 0); 2θ 30.19, rel. 10, (2 0 0); 2θ 37.07, rel. 22, (1 2 4); 2θ 37.22, rel. 46, (2 2 2); 2θ 43.13, rel. 14, (2 0 4); 2θ 48.63, rel. 11, (3 2 0); 2θ 58.39, rel. 18, (3 4 2)

Structure and computed powder XRD pattern of Y6Ho4Er (a crystal structure in Alexandria, relaxed with PBE; Cu Ka).

Structural model:
```
data_Y6Ho4Er
_chemical_formula_sum 'Y24 Ho16 Er4'
_space_group_name_H-M_alt 'C m c m'
_space_group_IT_number 63
_space_group_name_Hall '-C 2c 2'
_cell_length_a 5.670
_cell_length_b 9.652
_cell_length_c 25.654
_cell_angle_alpha 90.00
_cell_angle_beta 90.00
_cell_angle_gamma 90.00
loop_
_atom_site_label
_atom_site_fract_x
_atom_site_fract_y
_atom_site_fract_z
Y1 0.000 0.000 0.000
Y2 0.000 0.013 0.250
Y3 0.000 0.318 0.604
Y4 0.000 0.348 0.182
Ho1 0.000 0.019 0.121
Ho2 0.000 0.339 0.042
Er1 0.000 0.321 0.750
```

Top 8 peaks for 10 to 80 degrees two-theta, by angle:
2θ 30.48, rel. 62, (1 1 7); 2θ 30.63, rel. 41, (0 2 7); 2θ 31.56, rel. 55, (2 0 0); 2θ 31.98, rel. 100, (1 3 0); 2θ 33.42, rel. 35, (1 1 8); 2θ 44.56, rel. 29, (2 2 7); 2θ 56.25, rel. 17, (1 5 7); 2θ 56.47, rel. 20, (3 3 0)

Structure and computed powder XRD pattern of Tb2Pm2Dy3 (a crystal structure in Alexandria, relaxed with PBE; Cu Ka).

Structural model:
```
data_Tb2Pm2Dy3
_chemical_formula_sum 'Tb8 Pm8 Dy12'
_space_group_name_H-M_alt 'I 21 3'
_space_group_IT_number 199
_space_group_name_Hall 'I 2b 2c 3'
_cell_length_a 9.750
_cell_length_b 9.750
_cell_length_c 9.750
_cell_angle_alpha 90.00
_cell_angle_beta 90.00
_cell_angle_gamma 90.00
loop_
_atom_site_label
_atom_site_fract_x
_atom_site_fract_y
_atom_site_fract_z
Tb1 0.208 0.208 0.208
Pm1 0.094 0.406 0.594
Dy1 0.000 0.250 0.943
```

Top 8 peaks for 10 to 80 degrees two-theta, by angle:
2θ 28.96, rel. 100, (3 1 0); 2θ 31.79, rel. 48, (2 2 2); 2θ 34.42, rel. 89, (3 2 1); 2θ 39.20, rel. 17, (4 1 1); 2θ 47.55, rel. 34, (4 1 3); 2θ 58.34, rel. 39, (5 2 3); 2θ 61.65, rel. 19, (5 1 4); 2θ 79.93, rel. 14, (7 4 1)

Structure and computed powder XRD pattern of SmZn8Ga2Cu (a crystal structure in Alexandria, relaxed with PBE; Cu Ka).

Structural model:
```
data_SmZn8Ga2Cu
_chemical_formula_sum 'Sm2 Zn16 Ga4 Cu2'
_space_group_name_H-M_alt 'C 1 2/m 1'
_space_group_IT_number 12
_cell_length_a 7.437
_cell_length_b 4.930
_cell_length_c 11.556
_cell_angle_alpha 90.00
_cell_angle_beta 101.23
_cell_angle_gamma 90.00
loop_
_space_group_symop_operation_xyz
'x,y,z'
'-x,-y,-z'
'-x,y,-z'
'x,-y,z'
'x+1/2,y+1/2,z'
'-x+1/2,-y+1/2,-z'
'-x+1/2,y+1/2,-z'
'x+1/2,-y+1/2,z'
loop_
_atom_site_label
_atom_site_fract_x
_atom_site_fract_y
_atom_site_fract_z
Sm1 0.000 0.000 0.000
Zn1 0.049 0.248 0.319
Zn2 0.172 0.500 0.539
Zn3 0.243 0.500 0.175
Ga1 0.122 0.500 0.868
Cu1 0.000 0.000 0.500
```

Top 8 peaks for 10 to 80 degrees two-theta, by angle:
2θ 28.29, rel. 47, (1 1 2); 2θ 30.42, rel. 100, (1 1 -3); 2θ 37.46, rel. 95, (2 0 3); 2θ 39.88, rel. 58, (0 2 2); 2θ 41.41, rel. 64, (3 1 0); 2θ 41.70, rel. 82, (3 1 -2); 2θ 43.85, rel. 73, (0 2 3); 2θ 46.00, rel. 45, (2 2 1)

Structure and computed powder XRD pattern of Pm2Sn3GeRh4 (a crystal structure in Alexandria, relaxed with PBE; Cu Ka).

Structural model:
```
data_Pm2Sn3GeRh4
_chemical_formula_sum 'Pm2 Sn3 Ge1 Rh4'
_space_group_name_H-M_alt 'P -4 m 2'
_space_group_IT_number 115
_cell_length_a 4.449
_cell_length_b 4.449
_cell_length_c 10.563
_cell_angle_alpha 90.00
_cell_angle_beta 90.00
_cell_angle_gamma 90.00
loop_
_space_group_symop_operation_xyz
'x,y,z'
'y,-x,-z'
'-x,-y,z'
'-y,x,-z'
'-x,y,z'
'-y,-x,-z'
'x,-y,z'
'y,x,-z'
loop_
_atom_site_label
_atom_site_fract_x
_atom_site_fract_y
_atom_site_fract_z
Pm1 0.000 0.500 0.242
Sn1 0.000 0.000 0.000
Sn2 0.000 0.500 0.633
Ge1 0.500 0.500 0.000
Rh1 0.000 0.000 0.500
Rh2 0.000 0.500 0.877
Rh3 0.500 0.500 0.500
```

Top 8 peaks for 10 to 80 degrees two-theta, by angle:
2θ 32.43, rel. 71, (1 0 3); 2θ 33.15, rel. 100, (1 1 2); 2θ 40.55, rel. 74, (2 0 0); 2θ 44.81, rel. 27, (1 1 4); 2θ 47.65, rel. 28, (1 0 5); 2θ 52.85, rel. 36, (2 1 3); 2θ 58.69, rel. 25, (2 2 0); 2θ 69.09, rel. 25, (3 1 2)

Structure and computed powder XRD pattern of BAsPC (a crystal structure in Alexandria, relaxed with PBE; Cu Ka).

Structural model:
```
data_BAsPC
_chemical_formula_sum 'B1 As1 P1 C1'
_space_group_name_H-M_alt 'P 3 m 1'
_space_group_IT_number 156
_cell_length_a 3.1798
_cell_length_b 3.1798
_cell_length_c 5.4973
_cell_angle_alpha 90.00
_cell_angle_beta 90.00
_cell_angle_gamma 120.00
loop_
_space_group_symop_operation_xyz
'x,y,z'
'-y,x-y,z'
'-x+y,-x,z'
'-y,-x,z'
'-x+y,y,z'
'x,x-y,z'
loop_
_atom_site_label
_atom_site_fract_x
_atom_site_fract_y
_atom_site_fract_z
B1 0.0000 0.0000 0.0000
As1 0.3333 0.6667 0.4557
P1 0.6667 0.3333 0.8667
C1 0.0000 0.0000 0.2931
```

Top 8 peaks for 10 to 80 degrees two-theta, by angle:
2θ 16.12, rel. 29, (0 0 1); 2θ 32.55, rel. 45, (0 0 2); 2θ 36.49, rel. 100, (0 1 1); 2θ 46.69, rel. 30, (1 0 2); 2θ 58.01, rel. 20, (1 1 0); 2θ 60.69, rel. 25, (0 1 3); 2θ 68.13, rel. 18, (1 1 2); 2θ 70.51, rel. 14, (2 0 1)